Structure and simulated powder XRD pattern of Tb2ZrTa2Rh5 (a cell relaxed with PBE; a wavelength of 1.5418 Å).
No peak broadening, texture or thermal motion is included.

Largest 8 diffraction maxima, in order of rising 2θ, 2θ from 5° to 70°:
d_spacing	I/Imax
7.502	14
2.573	26
2.511	22
2.501	42
2.381	100
2.220	28
2.087	36
1.690	17

Structure:
abc: 10.610 10.610 3.381
angles: 90.00 90.00 90.00
Element x y z (fractional)
Tb: 0.173 0.327 0.000
Tb: 0.327 0.827 0.000
Tb: 0.673 0.173 0.000
Tb: 0.827 0.673 0.000
Zr: 0.000 0.000 0.000
Zr: 0.500 0.500 0.000
Ta: 0.134 0.634 0.000
Ta: 0.366 0.134 0.000
Ta: 0.634 0.866 0.000
Ta: 0.866 0.366 0.000
Rh: 0.000 0.500 0.500
Rh: 0.041 0.795 0.500
Rh: 0.205 0.041 0.500
Rh: 0.295 0.541 0.500
Rh: 0.459 0.295 0.500
Rh: 0.500 0.000 0.500
Rh: 0.541 0.705 0.500
Rh: 0.705 0.459 0.500
Rh: 0.795 0.959 0.500
Rh: 0.959 0.205 0.500

Structure and simulated powder XRD pattern of ThTaRh6 (a cell relaxed with PBE; a wavelength of 1.5418 Å).
No peak broadening, texture or thermal motion is included.

Largest 8 diffraction maxima, in order of rising 2θ, 2θ from 5° to 70°:
d_spacing	I/Imax
4.019	11
2.842	9
2.680	3
2.320	100
2.009	48
1.797	5
1.641	5
1.421	30

Structure:
abc: 4.017 4.017 8.047
angles: 90.00 90.00 90.00
Element x y z (fractional)
Th: 0.000 0.000 0.000
Ta: 0.000 0.000 0.500
Rh: 0.000 0.500 0.271
Rh: 0.000 0.500 0.729
Rh: 0.500 0.000 0.271
Rh: 0.500 0.000 0.729
Rh: 0.500 0.500 0.000
Rh: 0.500 0.500 0.500

Structure and simulated powder XRD pattern of TaTiRh (a cell relaxed with PBE; a wavelength of 1.5418 Å).
No peak broadening, texture or thermal motion is included.

Largest 8 diffraction maxima, in order of rising 2θ, 2θ from 5° to 70°:
d_spacing	I/Imax
6.673	28
3.699	5
3.337	8
2.582	15
2.265	100
2.223	47
1.633	9
1.572	16

Structure:
abc: 3.266 13.346 4.445
angles: 90.00 90.00 90.00
Element x y z (fractional)
Ta: 0.000 0.247 0.250
Ta: 0.000 0.753 0.750
Ta: 0.500 0.253 0.750
Ta: 0.500 0.747 0.250
Ti: 0.000 0.079 0.750
Ti: 0.000 0.921 0.250
Ti: 0.500 0.421 0.250
Ti: 0.500 0.579 0.750
Rh: 0.000 0.421 0.750
Rh: 0.000 0.579 0.250
Rh: 0.500 0.079 0.250
Rh: 0.500 0.921 0.750

Structure and simulated powder XRD pattern of Ta2Ti5Rh (a cell relaxed with PBE; a wavelength of 1.5418 Å).
No peak broadening, texture or thermal motion is included.

Largest 8 diffraction maxima, in order of rising 2θ, 2θ from 5° to 70°:
d_spacing	I/Imax
4.578	19
4.507	12
3.243	14
3.213	26
2.292	25
2.283	100
2.253	23
1.607	15

Structure:
abc: 6.428 5.615 5.552
angles: 70.28 55.31 54.41
Element x y z (fractional)
Ta: 0.237 0.763 0.237
Ta: 0.763 0.237 0.763
Ti: 0.213 0.213 0.787
Ti: 0.245 0.245 0.255
Ti: 0.246 0.723 0.754
Ti: 0.723 0.246 0.277
Ti: 0.745 0.745 0.755
Rh: 0.739 0.739 0.261

Structure and simulated powder XRD pattern of Ta2V2Rh (a cell relaxed with PBE; a wavelength of 1.5418 Å).
No peak broadening, texture or thermal motion is included.

Largest 8 diffraction maxima, in order of rising 2θ, 2θ from 5° to 70°:
d_spacing	I/Imax
2.979	17
2.842	27
2.483	51
2.313	100
2.009	31
1.990	23
1.437	19
1.414	19

Structure:
abc: 6.354 6.354 3.980
angles: 90.00 90.00 90.00
Element x y z (fractional)
Ta: 0.173 0.327 0.000
Ta: 0.327 0.827 0.000
Ta: 0.673 0.173 0.000
Ta: 0.827 0.673 0.000
V: 0.131 0.631 0.500
V: 0.369 0.131 0.500
V: 0.631 0.869 0.500
V: 0.869 0.369 0.500
Rh: 0.000 0.000 0.500
Rh: 0.500 0.500 0.500

Structure and simulated powder XRD pattern of Ta4V3Rh (a cell relaxed with PBE; a wavelength of 1.5418 Å).
No peak broadening, texture or thermal motion is included.

Largest 8 diffraction maxima, in order of rising 2θ, 2θ from 5° to 70°:
d_spacing	I/Imax
3.177	14
3.157	28
2.239	100
2.233	50
1.827	13
1.588	8
1.579	17
1.413	11

Structure:
abc: 4.465 4.465 6.354
angles: 90.00 90.00 90.00
Element x y z (fractional)
Ta: 0.000 0.500 0.246
Ta: 0.000 0.500 0.754
Ta: 0.500 0.000 0.246
Ta: 0.500 0.000 0.754
V: 0.000 0.000 0.000
V: 0.000 0.000 0.500
V: 0.500 0.500 0.000
Rh: 0.500 0.500 0.500

Structure and simulated powder XRD pattern of Ta3V8Rh (a cell relaxed with PBE; a wavelength of 1.5418 Å).
No peak broadening, texture or thermal motion is included.

Largest 8 diffraction maxima, in order of rising 2θ, 2θ from 5° to 70°:
d_spacing	I/Imax
4.100	43
2.515	78
2.493	76
2.144	51
2.137	100
2.123	51
1.448	28
1.363	24

Structure:
abc: 8.609 8.609 8.609
angles: 33.97 33.97 33.97
Element x y z (fractional)
Ta: 0.000 0.000 0.000
Ta: 0.124 0.124 0.124
Ta: 0.499 0.499 0.499
V: 0.062 0.560 0.560
V: 0.063 0.063 0.563
V: 0.063 0.563 0.063
V: 0.311 0.311 0.311
V: 0.560 0.062 0.560
V: 0.560 0.560 0.062
V: 0.563 0.063 0.063
V: 0.813 0.813 0.813
Rh: 0.623 0.623 0.623

Structure and simulated powder XRD pattern of YTaRh2 (a cell relaxed with PBE; a wavelength of 1.5418 Å).
No peak broadening, texture or thermal motion is included.

Largest 8 diffraction maxima, in order of rising 2θ, 2θ from 5° to 70°:
d_spacing	I/Imax
7.262	75
2.412	100
2.381	96
2.255	95
1.937	16
1.614	17
1.576	18
1.414	24

Structure:
abc: 3.153 3.228 7.262
angles: 90.00 90.00 90.00
Element x y z (fractional)
Y: 0.000 0.000 0.000
Ta: 0.000 0.000 0.500
Rh: 0.500 0.500 0.295
Rh: 0.500 0.500 0.705

Structure and simulated powder XRD pattern of Ta4ZnRh (a cell relaxed with PBE; a wavelength of 1.5418 Å).
No peak broadening, texture or thermal motion is included.

Largest 8 diffraction maxima, in order of rising 2θ, 2θ from 5° to 70°:
d_spacing	I/Imax
4.378	41
2.681	11
2.286	100
2.189	64
1.896	18
1.740	11
1.548	4
1.459	32

Structure:
abc: 5.362 5.362 5.362
angles: 60.00 60.00 60.00
Element x y z (fractional)
Ta: 0.124 0.124 0.124
Ta: 0.124 0.124 0.627
Ta: 0.124 0.627 0.124
Ta: 0.627 0.124 0.124
Zn: 0.750 0.750 0.750
Rh: 0.500 0.500 0.500

Structure and simulated powder XRD pattern of Zr6TaRh5 (a cell relaxed with PBE; a wavelength of 1.5418 Å).
No peak broadening, texture or thermal motion is included.

Largest 8 diffraction maxima, in order of rising 2θ, 2θ from 5° to 70°:
d_spacing	I/Imax
2.353	100
2.336	24
2.330	24
1.678	9
1.650	16
1.362	17
1.352	17
1.349	17

Structure:
abc: 4.659 6.713 7.389
angles: 90.00 108.44 90.00
Element x y z (fractional)
Zr: 0.000 0.247 0.000
Zr: 0.000 0.753 0.000
Zr: 0.333 0.249 0.666
Zr: 0.333 0.751 0.666
Zr: 0.667 0.249 0.334
Zr: 0.667 0.751 0.334
Ta: 0.500 0.500 0.000
Rh: 0.168 0.000 0.334
Rh: 0.169 0.500 0.339
Rh: 0.500 0.000 0.000
Rh: 0.831 0.500 0.661
Rh: 0.832 0.000 0.666